Simulated powder X-ray diffraction pattern of Ti3Mn3Sn2O16 for Cu Kα, from a crystal structure in the Materials Project, relaxed with GGA+U.

Atomic structure:
```
Ti3Mn3Sn2O16
1.0
5.1077 -2.9515 0.0000
5.1077 2.9515 0.0000
-0.1387 0.0000 9.5194
Ti Mn Sn O
3 3 2 16
direct
0.0000 0.0000 0.0000
0.3321 0.8307 0.4998
0.8307 0.3321 0.4998
0.3324 0.3324 0.5007
0.5007 0.9934 0.9997
0.9934 0.5007 0.9997
0.4905 0.4905 0.7799
0.8262 0.8262 0.2767
0.1205 0.6755 0.1183
0.1643 0.1643 0.5986
0.1652 0.1652 0.0989
0.1992 0.6343 0.6184
0.3190 0.3190 0.8937
0.3213 0.8337 0.8935
0.4865 0.9955 0.3927
0.4901 0.4901 0.3935
0.6343 0.1992 0.6184
0.6390 0.6390 0.6214
0.6755 0.1205 0.1183
0.6791 0.6791 0.1130
0.8223 0.8223 0.8958
0.8337 0.3213 0.8935
0.9945 0.9945 0.3947
0.9955 0.4865 0.3927
```

Main lines, by angle (2θ from 10° to 90°):
2theta, I_rel
19.6, 100
19.8, 90
25.4, 30
35.6, 29
35.8, 30
36.0, 31
36.3, 28
63.0, 41



Simulated powder X-ray diffraction pattern of Sr4Mn3O10 for Cu Kα, from a crystal structure in the Materials Project, relaxed with GGA+U.

Atomic structure:
```
Sr4Mn3O10
1.0
2.7747 -6.2776 0.0000
2.7747 6.2776 0.0000
0.0000 0.0000 12.8924
Sr Mn O
8 6 20
direct
0.0292 0.9708 0.8558
0.2372 0.7628 0.6115
0.2628 0.7372 0.1115
0.4708 0.5292 0.3558
0.5292 0.4708 0.6442
0.7372 0.2628 0.8885
0.7628 0.2372 0.3885
0.9708 0.0292 0.1442
0.0000 0.0000 0.5000
0.1325 0.8675 0.3476
0.3675 0.6325 0.8476
0.5000 0.5000 0.0000
0.6325 0.3675 0.1524
0.8675 0.1325 0.6524
0.0369 0.9631 0.6450
0.1197 0.3387 0.5377
0.1338 0.3662 0.7500
0.1613 0.3803 0.9623
0.2227 0.7773 0.8469
0.2773 0.7227 0.3469
0.3387 0.1197 0.4623
0.3662 0.1338 0.2500
0.3803 0.1613 0.0377
0.4631 0.5369 0.1450
0.5369 0.4631 0.8550
0.6197 0.8387 0.9623
0.6338 0.8662 0.7500
0.6613 0.8803 0.5377
0.7227 0.2773 0.6531
0.7773 0.2227 0.1531
0.8387 0.6197 0.0377
0.8662 0.6338 0.2500
0.8803 0.6613 0.4623
0.9631 0.0369 0.3550
```

Main lines, by angle (2θ from 10° to 90°):
2theta, I_rel
27.2, 22
27.7, 62
30.1, 100
32.3, 66
34.0, 63
43.0, 54
43.5, 33
43.8, 28